This entry pairs a crystal structure of La3CoIr2 with its computed powder X-ray diffraction pattern. Radiation: λ = 1.5418 Å (Cu Kα). Structure: a crystal structure in Alexandria, relaxed with GGA-PBE.
Lines closer than 0.1° are merged.

Structural model:
```
La3CoIr2
1.0
11.596 0.000 0.000
0.000 4.158 0.000
0.000 0.000 12.033
La Co Ir
12 4 8
Cartesian
0.621 1.039 1.449 La
1.432 3.118 6.675 La
2.402 1.039 9.628 La
3.395 3.118 3.612 La
4.365 1.039 0.658 La
5.177 3.118 7.466 La
6.419 1.039 4.567 La
7.230 3.118 11.374 La
8.200 1.039 8.421 La
9.193 3.118 2.404 La
10.163 1.039 5.358 La
10.974 3.118 10.584 La
1.431 1.039 4.335 Co
4.366 3.118 10.351 Co
7.229 1.039 1.681 Co
10.164 3.118 7.698 Co
0.277 3.118 3.778 Ir
2.194 3.118 11.842 Ir
3.603 1.039 5.826 Ir
5.521 1.039 9.794 Ir
6.074 3.118 2.239 Ir
7.992 3.118 6.207 Ir
9.401 1.039 0.191 Ir
11.319 1.039 8.255 Ir
```

Most intense lines, 10 to 90 degrees two-theta, most intense first:
2.887 Å, 2θ 31.0, I 100, (0 1 3)
2.562 Å, 2θ 35.0, I 72, (3 1 2)
2.079 Å, 2θ 43.5, I 69, (0 2 0)
2.946 Å, 2θ 30.3, I 68, (2 1 2)
2.212 Å, 2θ 40.8, I 59, (4 1 2)
2.801 Å, 2θ 31.9, I 52, (1 1 3)
2.818 Å, 2θ 31.8, I 47, (4 0 1)
2.756 Å, 2θ 32.5, I 45, (3 1 1)

This entry pairs a crystal structure of Ac4GeRh4 with its computed powder X-ray diffraction pattern. Radiation: λ = 1.5418 Å (Cu Kα). Structure: a crystal structure in Alexandria, relaxed with GGA-PBE.
Lines closer than 0.1° are merged.

Structural model:
```
Ac4GeRh4
1.0
8.762 0.000 0.000
0.000 8.762 0.000
0.000 0.000 6.360
Ac Ge Rh
8 2 8
Cartesian
0.187 2.191 0.437 Ac
2.191 0.187 3.617 Ac
2.191 4.194 3.617 Ac
4.194 2.191 0.437 Ac
4.568 6.572 5.924 Ac
6.572 4.568 2.743 Ac
6.572 8.575 2.743 Ac
8.575 6.572 5.924 Ac
2.191 6.572 1.590 Ge
6.572 2.191 4.770 Ge
0.099 6.572 2.893 Rh
2.191 4.480 0.288 Rh
2.191 8.663 0.288 Rh
4.282 6.572 2.893 Rh
4.480 2.191 3.468 Rh
6.572 0.099 6.073 Rh
6.572 4.282 6.073 Rh
8.663 2.191 3.468 Rh
```

Most intense lines, 10 to 90 degrees two-theta, most intense first:
3.098 Å, 2θ 28.8, I 100, (2 2 0)
2.219 Å, 2θ 40.7, I 54, (2 2 2)
2.191 Å, 2θ 41.2, I 46, (4 0 0)
2.989 Å, 2θ 29.9, I 30, (1 0 2)
3.608 Å, 2θ 24.7, I 29, (2 0 1)
3.180 Å, 2θ 28.1, I 27, (0 0 2)
2.469 Å, 2θ 36.4, I 24, (2 1 2)
1.931 Å, 2θ 47.1, I 22, (3 2 2)

This entry pairs a crystal structure of LaY7Tl4 with its computed powder X-ray diffraction pattern. Radiation: λ = 1.5418 Å (Cu Kα). Structure: a crystal structure in Alexandria, relaxed with GGA-PBE.
Lines closer than 0.1° are merged.

Structural model:
```
LaY7Tl4
1.0
6.398 0.000 0.000
-1.092 6.757 0.000
-0.068 -2.051 8.318
La Y Tl
1 7 4
Cartesian
0.000 0.000 0.000 La
0.041 4.569 3.527 Y
1.104 3.326 0.504 Y
1.908 1.243 3.114 Y
3.199 0.000 0.000 Y
3.329 3.463 5.203 Y
4.133 1.380 7.814 Y
5.197 0.137 4.791 Y
0.318 2.725 6.070 Tl
1.989 -0.164 5.934 Tl
3.249 4.870 2.383 Tl
4.920 1.981 2.248 Tl
```

Most intense lines, 10 to 90 degrees two-theta, most intense first:
2.829 Å, 2θ 31.6, I 100, (0 2 1)
2.675 Å, 2θ 33.5, I 82, (2 1 0)
2.803 Å, 2θ 31.9, I 72, (-2 1 1)
2.541 Å, 2θ 35.3, I 66, (1 1 -3)
2.941 Å, 2θ 30.4, I 49, (0 2 -2)
2.792 Å, 2θ 32.1, I 43, (1 -2 2)
2.495 Å, 2θ 36.0, I 43, (1 0 3)
4.916 Å, 2θ 18.0, I 36, (1 0 1)

Number 1 is which compound? La3CoIr2

Copy entry 3 word for word.
This entry pairs a crystal structure of LaY7Tl4 with its computed powder X-ray diffraction pattern. Radiation: λ = 1.5418 Å (Cu Kα). Structure: a crystal structure in Alexandria, relaxed with GGA-PBE.
Lines closer than 0.1° are merged.

Structural model:
```
LaY7Tl4
1.0
6.398 0.000 0.000
-1.092 6.757 0.000
-0.068 -2.051 8.318
La Y Tl
1 7 4
Cartesian
0.000 0.000 0.000 La
0.041 4.569 3.527 Y
1.104 3.326 0.504 Y
1.908 1.243 3.114 Y
3.199 0.000 0.000 Y
3.329 3.463 5.203 Y
4.133 1.380 7.814 Y
5.197 0.137 4.791 Y
0.318 2.725 6.070 Tl
1.989 -0.164 5.934 Tl
3.249 4.870 2.383 Tl
4.920 1.981 2.248 Tl
```

Most intense lines, 10 to 90 degrees two-theta, most intense first:
2.829 Å, 2θ 31.6, I 100, (0 2 1)
2.675 Å, 2θ 33.5, I 82, (2 1 0)
2.803 Å, 2θ 31.9, I 72, (-2 1 1)
2.541 Å, 2θ 35.3, I 66, (1 1 -3)
2.941 Å, 2θ 30.4, I 49, (0 2 -2)
2.792 Å, 2θ 32.1, I 43, (1 -2 2)
2.495 Å, 2θ 36.0, I 43, (1 0 3)
4.916 Å, 2θ 18.0, I 36, (1 0 1)